Record 1
Starting from a crystal structure in the Materials Project, relaxed with PBE, the PXRD pattern of MgTiNbS4 was calculated for Cu Kα (weighted mean of Kα1 and Kα2).
Lines closer than 0.1° are merged.

Principal peaks in the range 2θ = 5–70°, low angle first:
| 2theta | intensity |
| --- | --- |
| 13.95 | 996 |
| 15.20 | 234 |
| 34.79 | 1000 |
| 37.00 | 409 |
| 50.23 | 319 |
| 53.11 | 214 |

Crystal structure
```
MgTiNbS4
1.0
13.1066 0.0000 0.0000
0.0000 3.4265 0.0000
-1.4898 0.0000 5.8274
Mg Ti Nb S
2 2 2 8
Direct
0.0000 0.0000 0.0000
0.5000 0.5000 0.0000
0.2552 0.5000 0.2100
0.7552 0.0000 0.2100
0.2470 0.0000 0.7812
0.7470 0.5000 0.7812
0.1170 0.5000 0.8446
0.1506 0.0000 0.3501
0.3572 0.5000 0.6357
0.3836 0.0000 0.1530
0.6170 0.0000 0.8446
0.6506 0.5000 0.3501
0.8572 0.0000 0.6357
0.8836 0.5000 0.1530
```

***

Record 2
Starting from a crystal structure in the Materials Project, relaxed with PBE, the PXRD pattern of MgTiNbS4 was calculated for Cu Kα (weighted mean of Kα1 and Kα2).
Lines closer than 0.1° are merged.

Principal peaks in the range 2θ = 5–70°, low angle first:
| 2theta | intensity |
| --- | --- |
| 14.39 | 1000 |
| 33.09 | 767 |
| 33.42 | 390 |
| 41.68 | 462 |
| 42.75 | 588 |
| 52.37 | 266 |

Crystal structure
```
MgTiNbS4
1.0
3.4127 0.0000 0.0000
0.0003 6.1084 0.0000
1.7042 2.7491 6.1562
Mg Ti Nb S
1 1 1 4
Direct
0.0000 0.0000 0.0000
0.2595 0.3056 0.4866
0.7470 0.7051 0.5122
0.1184 0.4568 0.7699
0.3618 0.0258 0.2802
0.6440 0.9915 0.7158
0.8848 0.5390 0.2353
```

***

Record 3
Starting from a crystal structure in the Materials Project, relaxed with PBE, the PXRD pattern of MgTiNbS4 was calculated for Cu Kα (weighted mean of Kα1 and Kα2).
Lines closer than 0.1° are merged.

Principal peaks in the range 2θ = 5–70°, low angle first:
| 2theta | intensity |
| --- | --- |
| 13.34 | 1000 |
| 32.54 | 633 |
| 32.68 | 291 |
| 40.17 | 366 |
| 40.83 | 218 |
| 51.74 | 206 |

Crystal structure
```
MgTiNbS4
1.0
3.4442 0.0000 0.0000
-0.0005 6.1146 0.0000
-1.7098 -2.8278 6.6395
Mg Ti Nb S
1 1 1 4
Direct
0.0000 0.0000 0.0000
0.2759 0.8668 0.5492
0.7827 0.4583 0.5623
0.1828 0.1522 0.3610
0.4094 0.6986 0.8176
0.6609 0.6411 0.3172
0.8764 0.1692 0.7516
```